Structure and calculated PXRD pattern of Pr2ErCu4Pb4 (the PBE geometry in OQMD; Cu Kα X-rays).
Kinematic intensities with the Lorentz-polarization factor, no thermal factor.

Largest 10 diffraction maxima, in order of rising 2θ, 2θ from 15° to 90°:
two_theta	intensity
25.8	22
28.0	21
31.9	27
32.4	100
32.8	80
35.2	18
38.4	46
43.8	41
53.1	17
65.6	21

Atomic structure:
abc: 8.7271 8.7271 8.7271
angles: 148.80 132.71 57.75
Sites, in units of the cell vectors:
Pr: 0.1327 0.1327 0.0000
Pr: 0.8673 0.8673 0.0000
Er: 0.5000 0.0000 0.5000
Cu: 0.1442 0.3298 0.8145
Cu: 0.4847 0.6702 0.8145
Cu: 0.5153 0.3298 0.1855
Cu: 0.8558 0.6702 0.1855
Pb: 0.2146 0.5000 0.7146
Pb: 0.2868 0.7868 0.5000
Pb: 0.7132 0.2132 0.5000
Pb: 0.7854 0.5000 0.2854

Structure and calculated PXRD pattern of ErZn2SnIr4 (the PBE geometry in OQMD; Cu Kα X-rays).
Kinematic intensities with the Lorentz-polarization factor, no thermal factor.

Largest 10 diffraction maxima, in order of rising 2θ, 2θ from 15° to 90°:
two_theta	intensity
24.2	5
28.2	9
39.9	100
40.3	50
57.2	8
58.3	17
72.2	17
73.0	34
86.1	11
87.0	6

Atomic structure:
abc: 4.4785 4.4785 6.4452
angles: 90.00 90.00 90.00
Sites, in units of the cell vectors:
Er: 0.0000 0.0000 0.0000
Zn: 0.0000 0.0000 0.5000
Zn: 0.5000 0.5000 0.0000
Sn: 0.5000 0.5000 0.5000
Ir: 0.0000 0.5000 0.2634
Ir: 0.0000 0.5000 0.7366
Ir: 0.5000 0.0000 0.2634
Ir: 0.5000 0.0000 0.7366

Structure and calculated PXRD pattern of AuBr8O (the PBE geometry in OQMD; Cu Kα X-rays).
Kinematic intensities with the Lorentz-polarization factor, no thermal factor.

Largest 10 diffraction maxima, in order of rising 2θ, 2θ from 15° to 90°:
two_theta	intensity
18.6	54
20.5	25
21.9	46
22.1	29
22.7	64
23.9	100
24.6	26
27.0	35
36.6	33
41.5	29

Atomic structure:
abc: 8.1515 8.7165 9.8218
angles: 91.71 95.57 92.85
Sites, in units of the cell vectors:
Au: 0.0122 0.3633 0.1752
Au: 0.9878 0.6367 0.8248
Br: 0.0579 0.6009 0.3186
Br: 0.0757 0.9055 0.5602
Br: 0.0768 0.8629 0.9788
Br: 0.2579 0.6739 0.7362
Br: 0.3014 0.3903 0.1089
Br: 0.3817 0.2380 0.8904
Br: 0.4219 0.0255 0.2573
Br: 0.4951 0.3813 0.5518
Br: 0.5049 0.6187 0.4482
Br: 0.5781 0.9745 0.7427
Br: 0.6183 0.7620 0.1096
Br: 0.6986 0.6097 0.8911
Br: 0.7421 0.3261 0.2638
Br: 0.9232 0.1371 0.0212
Br: 0.9243 0.0945 0.4398
Br: 0.9421 0.3991 0.6814
O: 0.4642 0.1483 0.7207
O: 0.5358 0.8517 0.2793